Diffraction record for Mn3Si5. The powder diffractogram is simulated, not measured: it uses a DFT-relaxed cell (PBE, Alexandria) and CuKα.

Most intense lines, 15 to 90 degrees two-theta, sorted by position:
2θ/deg, I_rel, hkl
31.92, 43, 1 1 1
38.17, 33, 0 0 2
44.08, 100, 2 1 1
45.04, 61, 3 0 0
46.50, 72, 1 1 2
58.48, 26, 3 1 1

```
Mn3Si5
1.0
6.9723 0.0000 0.0000
-3.4862 6.0382 0.0000
0.0000 0.0000 4.7156
Mn Si
6 10
direct
0.0000 0.3871 0.2500
0.0000 0.6129 0.7500
0.3871 0.0000 0.2500
0.3871 0.3871 0.7500
0.6129 0.0000 0.7500
0.6129 0.6129 0.2500
0.0000 0.2491 0.7500
0.0000 0.7509 0.2500
0.2491 0.0000 0.7500
0.2491 0.2491 0.2500
0.3333 0.6667 0.0000
0.3333 0.6667 0.5000
0.6667 0.3333 0.0000
0.6667 0.3333 0.5000
0.7509 0.0000 0.2500
0.7509 0.7509 0.7500
```